# PmMgGaAg
Simulated powder XRD pattern, CuKα. Input: a DFT-relaxed cell (GGA-PBE, Alexandria).

Cell lengths 7.0481, 7.0481, 7.0481 Å; angles 90.00, 90.00, 90.00 degrees
Space group F-43m (No. 216)
Symmetry-distinct sites (fractional):
Pm 0.0000 0.0000 0.0000 x4
Mg 0.0000 0.0000 0.5000 x4
Ga 0.2500 0.2500 0.7500 x4
Ag 0.2500 0.2500 0.2500 x4

Largest 7 diffraction maxima, most intense first, 2θ = 5–70°:
index  2θ (°)  I (rel.)
2 2 0  36.04  100
4 2 2  64.80  35
1 1 1  21.84  30
4 0 0  51.89  17
3 1 1  42.54  16
3 3 1  56.95  7
5 1 1  69.27  5